Diffraction record for La7Sm2Y2. The powder X-ray diffraction pattern is computed, not measured: it uses a GGA-PBE-relaxed structure and Cu Ka.
Kinematic intensities with the Lorentz-polarization factor, no thermal factor.

Cell and atoms:
Cell lengths 11.651, 11.635, 6.246 Å; angles 90.00, 111.65, 90.00 degrees
Space group C2/m (No. 12)
Symmetry-distinct sites (fractional):
La  0.000  0.000  0.000 (multiplicity 2)
La  0.076  0.500  0.804 (multiplicity 4)
La  0.184  0.232  0.180 (multiplicity 8)
Sm  0.230  0.000  0.591 (multiplicity 4)
Y  0.000  0.212  0.500 (multiplicity 4)

Main lines, sorted by position (15° ≤ 2θ ≤ 90°):
24.96°, intensity 25.0; 29.78°, intensity 32.3; 30.55°, intensity 100.0; 30.74°, intensity 43.7; 30.87°, intensity 23.7; 32.96°, intensity 32.0; 33.24°, intensity 31.7; 44.12°, intensity 13.7; 48.91°, intensity 13.8; 54.54°, intensity 12.4

Diffraction record for Cd2HgS2. The powder X-ray diffraction pattern is computed, not measured: it uses a GGA-PBE-relaxed structure and Cu Ka.
Kinematic intensities with the Lorentz-polarization factor, no thermal factor.

Cell and atoms:
Cell lengths 4.557, 4.557, 13.842 Å; angles 90.00, 90.00, 90.00 degrees
Space group I4/mmm (No. 139)
Symmetry-distinct sites (fractional):
Cd  0.000  0.500  0.250 (multiplicity 4)
Hg  0.000  0.000  0.000 (multiplicity 2)
S  0.000  0.000  0.346 (multiplicity 4)

Main lines, sorted by position (15° ≤ 2θ ≤ 90°):
20.52°, intensity 40.0; 25.74°, intensity 33.7; 27.51°, intensity 56.5; 30.60°, intensity 100.0; 39.55°, intensity 37.2; 47.80°, intensity 25.9; 48.53°, intensity 39.6; 48.86°, intensity 22.9; 66.25°, intensity 21.6; 78.21°, intensity 19.2

Diffraction record for CoReP2Cl. The powder X-ray diffraction pattern is computed, not measured: it uses a GGA-PBE-relaxed structure and Cu Ka.
Kinematic intensities with the Lorentz-polarization factor, no thermal factor.

Cell and atoms:
Cell lengths 4.534, 4.534, 5.172 Å; angles 90.00, 90.00, 90.00 degrees
Space group P4/mmm (No. 123)
Symmetry-distinct sites (fractional):
Co  0.000  0.000  0.000 (multiplicity 1)
Re  0.500  0.500  0.500 (multiplicity 1)
P  0.000  0.500  0.500 (multiplicity 2)
Cl  0.500  0.500  0.000 (multiplicity 1)

Main lines, sorted by position (15° ≤ 2θ ≤ 90°):
17.14°, intensity 33.9; 19.58°, intensity 57.4; 26.14°, intensity 100.0; 27.83°, intensity 47.4; 34.69°, intensity 32.5; 39.76°, intensity 44.0; 40.14°, intensity 18.2; 45.04°, intensity 25.8; 48.21°, intensity 39.4; 53.78°, intensity 35.5